# 1
Computed PXRD pattern of Rb3HS2O8 for CuKα, from a structure optimized by DFT (GGA-PBE).

Principal peaks in the range 5° ≤ 2θ ≤ 70°, low angle first:
(hkl), 2theta, d/Å, I (rel.)
2 2 -2, 25.7, 3.463, 100
6 0 -1, 26.2, 3.399, 45
4 2 1, 29.7, 3.010, 67
0 4 0, 30.6, 2.924, 32
6 0 -3, 35.0, 2.565, 14
8 0 0, 38.2, 2.356, 15
2 0 3, 38.6, 2.331, 22
6 4 -1, 40.7, 2.217, 28
8 2 -3, 43.3, 2.087, 16
2 4 3, 50.0, 1.823, 11

Cell and atoms:
```
data_Rb3HS2O8
_space_group_name_H-M_alt 'C 1 2/m 1'
_space_group_IT_number 12
_cell_length_a 20.398
_cell_length_b 11.696
_cell_length_c 8.602
_cell_angle_alpha 90.00
_cell_angle_beta 112.41
_cell_angle_gamma 90.00
loop_
_space_group_symop_operation_xyz
'x,y,z'
'-x,-y,-z'
'-x,y,-z'
'x,-y,z'
'x+1/2,y+1/2,z'
'-x+1/2,-y+1/2,-z'
'-x+1/2,y+1/2,-z'
'x+1/2,-y+1/2,z'
loop_
_atom_site_label
_atom_site_fract_x
_atom_site_fract_y
_atom_site_fract_z
_atom_site_occupancy
Rb1 0.000 0.231 0.000 1
Rb2 0.097 0.239 0.591 1
Rb3 0.133 0.500 0.890 1
Rb4 0.144 0.000 0.929 1
Rb5 0.235 0.000 0.478 1
H1 0.145 0.358 0.285 1
S1 0.043 0.000 0.309 1
S2 0.060 0.500 0.341 1
S3 0.208 0.264 0.176 1
O1 0.002 0.105 0.716 1
O2 0.015 0.395 0.292 1
O3 0.078 0.000 0.185 1
O4 0.098 0.000 0.484 1
O5 0.104 0.500 0.524 1
O6 0.111 0.500 0.248 1
O7 0.149 0.261 0.010 1
O8 0.170 0.282 0.311 1
O9 0.245 0.137 0.802 1
O10 0.245 0.155 0.226 1
```

# 2
Computed PXRD pattern of Rb2AgC3S3N3 for CuKα, from a structure optimized by DFT (GGA-PBE).

Principal peaks in the range 5° ≤ 2θ ≤ 70°, low angle first:
(hkl), 2theta, d/Å, I (rel.)
1 1 0, 11.2, 7.924, 89
1 3 0, 19.0, 4.671, 63
2 0 0, 19.6, 4.529, 63
1 1 -2, 23.1, 3.849, 76
1 4 0, 23.9, 3.726, 100
2 3 -1, 25.5, 3.491, 100
2 2 -2, 27.9, 3.202, 80
1 1 2, 28.7, 3.115, 95
1 5 0, 29.0, 3.077, 90
2 4 2, 41.7, 2.164, 66

Cell and atoms:
```
data_Rb2AgC3S3N3
_space_group_name_H-M_alt 'P 1 21/c 1'
_space_group_IT_number 14
_cell_length_a 9.513
_cell_length_b 16.356
_cell_length_c 7.976
_cell_angle_alpha 90.00
_cell_angle_beta 107.79
_cell_angle_gamma 90.00
loop_
_space_group_symop_operation_xyz
'x,y,z'
'-x,-y,-z'
'-x,y+1/2,-z+1/2'
'x,-y+1/2,z+1/2'
loop_
_atom_site_label
_atom_site_fract_x
_atom_site_fract_y
_atom_site_fract_z
_atom_site_occupancy
Rb1 0.141 0.008 0.322 1
Rb2 0.310 0.156 0.960 1
Ag1 0.255 0.741 0.271 1
C1 0.016 0.187 0.573 1
C2 0.246 0.548 0.381 1
C3 0.446 0.152 0.494 1
S1 0.064 0.722 0.458 1
S2 0.340 0.592 0.264 1
S3 0.434 0.639 0.810 1
N1 0.075 0.122 0.596 1
N2 0.179 0.514 0.464 1
N3 0.356 0.161 0.354 1
```

# 3
Computed PXRD pattern of NaHoCl4 for CuKα, from a structure optimized by DFT (GGA-PBE).

Principal peaks in the range 5° ≤ 2θ ≤ 70°, low angle first:
(hkl), 2theta, d/Å, I (rel.)
0 0 1, 12.6, 7.037, 100
1 1 0, 17.1, 5.191, 39
0 1 1, 18.4, 4.828, 28
1 -1 0, 21.0, 4.237, 51
1 1 -1, 21.6, 4.111, 47
2 0 1, 29.8, 2.998, 22
2 1 1, 30.3, 2.947, 22
1 1 -2, 31.2, 2.866, 39
2 1 2, 37.3, 2.410, 28
0 2 -2, 37.4, 2.403, 35

Cell and atoms:
```
data_NaHoCl4
_space_group_name_H-M_alt 'P -1'
_space_group_IT_number 2
_cell_length_a 6.655
_cell_length_b 6.745
_cell_length_c 7.042
_cell_angle_alpha 89.28
_cell_angle_beta 87.75
_cell_angle_gamma 78.36
loop_
_space_group_symop_operation_xyz
'x,y,z'
'-x,-y,-z'
loop_
_atom_site_label
_atom_site_fract_x
_atom_site_fract_y
_atom_site_fract_z
_atom_site_occupancy
Na1 0.231 0.198 0.035 1
Ho1 0.211 0.700 0.445 1
Cl1 0.047 0.503 0.740 1
Cl2 0.096 0.002 0.705 1
Cl3 0.388 0.792 0.136 1
Cl4 0.435 0.314 0.382 1
```

# 4
Computed PXRD pattern of Nd2P7Rh12 for CuKα, from a structure optimized by DFT (GGA-PBE).

Principal peaks in the range 5° ≤ 2θ ≤ 70°, low angle first:
(hkl), 2theta, d/Å, I (rel.)
1 2 0, 28.2, 3.163, 14
1 2 1, 36.5, 2.462, 100
2 2 0, 37.2, 2.416, 8
0 3 1, 39.6, 2.273, 5
4 -3 1, 45.4, 1.997, 9
0 0 2, 46.3, 1.961, 16
2 3 0, 47.3, 1.920, 9
4 1 0, 49.9, 1.826, 17
1 2 2, 55.1, 1.666, 6
6 -2 1, 63.4, 1.467, 8

Cell and atoms:
```
data_Nd2P7Rh12
_space_group_name_H-M_alt 'P -3'
_space_group_IT_number 147
_cell_length_a 9.6640
_cell_length_b 9.6640
_cell_length_c 3.9213
_cell_angle_alpha 90.00
_cell_angle_beta 90.00
_cell_angle_gamma 120.00
loop_
_space_group_symop_operation_xyz
'x,y,z'
'-x,-y,-z'
'-y,x-y,z'
'y,-x+y,-z'
'-x+y,-x,z'
'x-y,x,-z'
loop_
_atom_site_label
_atom_site_fract_x
_atom_site_fract_y
_atom_site_fract_z
_atom_site_occupancy
Nd1 0.3333 0.6667 0.2482 1
P1 0.0000 0.0000 0.0000 1
P2 0.1160 0.4030 0.7458 1
Rh1 0.0654 0.6185 0.7492 1
Rh2 0.1104 0.8503 0.2500 1
```

# 5
Computed PXRD pattern of CaAg3P3O13 for CuKα, from a structure optimized by DFT (GGA-PBE).

Principal peaks in the range 5° ≤ 2θ ≤ 70°, low angle first:
(hkl), 2theta, d/Å, I (rel.)
1 0 -1, 13.4, 6.626, 47
0 1 1, 15.7, 5.632, 47
1 0 -2, 18.9, 4.703, 58
2 0 0, 23.9, 3.725, 44
2 0 -1, 24.0, 3.707, 48
0 2 0, 26.9, 3.315, 71
0 2 1, 28.2, 3.167, 43
1 0 3, 29.5, 3.027, 100
1 2 1, 31.2, 2.866, 32
2 2 0, 36.2, 2.478, 72

Cell and atoms:
```
data_CaAg3P3O13
_space_group_name_H-M_alt 'P 1 21/m 1'
_space_group_IT_number 11
_cell_length_a 7.548
_cell_length_b 6.633
_cell_length_c 10.806
_cell_angle_alpha 90.00
_cell_angle_beta 99.21
_cell_angle_gamma 90.00
loop_
_space_group_symop_operation_xyz
'x,y,z'
'-x,-y,-z'
'-x,y+1/2,-z'
'x,-y+1/2,z'
loop_
_atom_site_label
_atom_site_fract_x
_atom_site_fract_y
_atom_site_fract_z
_atom_site_occupancy
Ca1 0.165 0.250 0.190 1
Ag1 0.216 0.250 0.752 1
Ag2 0.242 0.750 0.418 1
Ag3 0.500 0.000 0.000 1
P1 0.183 0.750 0.103 1
P2 0.262 0.250 0.492 1
P3 0.276 0.750 0.732 1
O1 0.033 0.750 0.993 1
O2 0.098 0.250 0.565 1
O3 0.105 0.750 0.229 1
O4 0.151 0.571 0.751 1
O5 0.245 0.072 0.396 1
O6 0.301 0.555 0.112 1
O7 0.350 0.750 0.605 1
O8 0.353 0.250 0.932 1
O9 0.425 0.250 0.596 1
O10 0.453 0.750 0.824 1
```

# 6
Computed PXRD pattern of Al2O3 for CuKα, from a structure optimized by DFT (GGA-PBE).

Principal peaks in the range 5° ≤ 2θ ≤ 70°, low angle first:
(hkl), 2theta, d/Å, I (rel.)
1 0 -3, 21.0, 4.229, 41
2 0 -4, 32.6, 2.743, 27
0 1 3, 36.8, 2.445, 29
2 1 0, 40.4, 2.231, 26
2 1 -3, 42.6, 2.123, 100
1 0 6, 45.1, 2.012, 36
3 1 -3, 51.0, 1.792, 34
3 1 3, 58.1, 1.587, 28
0 2 0, 63.9, 1.457, 44
1 1 -9, 69.1, 1.360, 34

Cell and atoms:
```
data_Al2O3
_space_group_name_H-M_alt 'P 1 21/m 1'
_space_group_IT_number 11
_cell_length_a 7.114
_cell_length_b 2.914
_cell_length_c 13.842
_cell_angle_alpha 90.00
_cell_angle_beta 102.88
_cell_angle_gamma 90.00
loop_
_space_group_symop_operation_xyz
'x,y,z'
'-x,-y,-z'
'-x,y+1/2,-z'
'x,-y+1/2,z'
loop_
_atom_site_label
_atom_site_fract_x
_atom_site_fract_y
_atom_site_fract_z
_atom_site_occupancy
Al1 0.033 0.250 0.412 1
Al2 0.062 0.250 0.113 1
Al3 0.302 0.250 0.787 1
Al4 0.313 0.750 0.298 1
Al5 0.326 0.750 0.972 1
Al6 0.349 0.750 0.602 1
O1 0.142 0.250 0.655 1
O2 0.146 0.750 0.496 1
O3 0.158 0.250 0.998 1
O4 0.167 0.750 0.840 1
O5 0.185 0.750 0.168 1
O6 0.195 0.250 0.330 1
O7 0.445 0.750 0.743 1
O8 0.459 0.250 0.922 1
O9 0.487 0.250 0.593 1
```

# 7
Computed PXRD pattern of LiCu6OF11 for CuKα, from a structure optimized by DFT (GGA-PBE).

Principal peaks in the range 5° ≤ 2θ ≤ 70°, low angle first:
(hkl), 2theta, d/Å, I (rel.)
0 0 1, 9.7, 9.125, 21
1 1 1, 26.1, 3.408, 100
-1 1 1, 27.7, 3.215, 96
0 0 3, 29.4, 3.042, 58
1 1 -2, 31.9, 2.809, 35
1 -1 2, 32.2, 2.782, 40
0 2 -1, 34.6, 2.591, 21
1 0 3, 34.7, 2.587, 20
2 2 -1, 51.5, 1.775, 23
2 -2 1, 53.8, 1.705, 38

Cell and atoms:
```
data_LiCu6OF11
_space_group_name_H-M_alt 'P 1'
_space_group_IT_number 1
_cell_length_a 4.700
_cell_length_b 5.418
_cell_length_c 9.129
_cell_angle_alpha 89.67
_cell_angle_beta 88.32
_cell_angle_gamma 87.09
loop_
_space_group_symop_operation_xyz
'x,y,z'
loop_
_atom_site_label
_atom_site_fract_x
_atom_site_fract_y
_atom_site_fract_z
_atom_site_occupancy
Li1 0.000 0.000 0.000 1
Cu1 0.284 0.845 0.471 1
Cu2 0.291 0.501 0.794 1
Cu3 0.349 0.192 0.171 1
Cu4 0.788 0.664 0.159 1
Cu5 0.805 0.333 0.469 1
Cu6 0.820 0.978 0.719 1
O1 0.005 0.064 0.547 1
F1 0.005 0.378 0.233 1
F2 0.073 0.568 0.542 1
F3 0.091 0.233 0.869 1
F4 0.106 0.886 0.195 1
F5 0.485 0.773 0.716 1
F6 0.502 0.116 0.391 1
F7 0.512 0.465 0.070 1
F8 0.577 0.287 0.709 1
F9 0.578 0.618 0.389 1
F10 0.617 0.963 0.068 1
F11 0.997 0.735 0.867 1
```

# 8
Computed PXRD pattern of TiMoN3 for CuKα, from a structure optimized by DFT (GGA-PBE).

Principal peaks in the range 5° ≤ 2θ ≤ 70°, low angle first:
(hkl), 2theta, d/Å, I (rel.)
0 0 1, 12.0, 7.394, 26
1 0 0, 18.0, 4.927, 100
-1 1 1, 21.9, 4.057, 25
0 2 -1, 27.1, 3.295, 16
1 1 -2, 30.2, 2.963, 26
1 -2 1, 32.5, 2.757, 29
0 2 2, 35.2, 2.550, 17
-1 2 2, 35.6, 2.522, 16
2 0 0, 36.5, 2.464, 37
1 2 2, 43.7, 2.073, 34

Cell and atoms:
```
data_TiMoN3
_space_group_name_H-M_alt 'P -1'
_space_group_IT_number 2
_cell_length_a 5.086
_cell_length_b 7.305
_cell_length_c 7.578
_cell_angle_alpha 90.20
_cell_angle_beta 102.54
_cell_angle_gamma 96.82
loop_
_space_group_symop_operation_xyz
'x,y,z'
'-x,-y,-z'
loop_
_atom_site_label
_atom_site_fract_x
_atom_site_fract_y
_atom_site_fract_z
_atom_site_occupancy
Ti1 0.004 0.197 0.033 1
Ti2 0.462 0.826 0.694 1
Mo1 0.018 0.530 0.692 1
Mo2 0.026 0.863 0.358 1
N1 0.137 0.332 0.845 1
N2 0.184 0.996 0.169 1
N3 0.211 0.660 0.505 1
N4 0.255 0.365 0.252 1
N5 0.269 0.049 0.581 1
N6 0.286 0.738 0.868 1
```

Please write out number 7 again, unchanged.
Computed PXRD pattern of LiCu6OF11 for CuKα, from a structure optimized by DFT (GGA-PBE).

Principal peaks in the range 5° ≤ 2θ ≤ 70°, low angle first:
(hkl), 2theta, d/Å, I (rel.)
0 0 1, 9.7, 9.125, 21
1 1 1, 26.1, 3.408, 100
-1 1 1, 27.7, 3.215, 96
0 0 3, 29.4, 3.042, 58
1 1 -2, 31.9, 2.809, 35
1 -1 2, 32.2, 2.782, 40
0 2 -1, 34.6, 2.591, 21
1 0 3, 34.7, 2.587, 20
2 2 -1, 51.5, 1.775, 23
2 -2 1, 53.8, 1.705, 38

Cell and atoms:
```
data_LiCu6OF11
_space_group_name_H-M_alt 'P 1'
_space_group_IT_number 1
_cell_length_a 4.700
_cell_length_b 5.418
_cell_length_c 9.129
_cell_angle_alpha 89.67
_cell_angle_beta 88.32
_cell_angle_gamma 87.09
loop_
_space_group_symop_operation_xyz
'x,y,z'
loop_
_atom_site_label
_atom_site_fract_x
_atom_site_fract_y
_atom_site_fract_z
_atom_site_occupancy
Li1 0.000 0.000 0.000 1
Cu1 0.284 0.845 0.471 1
Cu2 0.291 0.501 0.794 1
Cu3 0.349 0.192 0.171 1
Cu4 0.788 0.664 0.159 1
Cu5 0.805 0.333 0.469 1
Cu6 0.820 0.978 0.719 1
O1 0.005 0.064 0.547 1
F1 0.005 0.378 0.233 1
F2 0.073 0.568 0.542 1
F3 0.091 0.233 0.869 1
F4 0.106 0.886 0.195 1
F5 0.485 0.773 0.716 1
F6 0.502 0.116 0.391 1
F7 0.512 0.465 0.070 1
F8 0.577 0.287 0.709 1
F9 0.578 0.618 0.389 1
F10 0.617 0.963 0.068 1
F11 0.997 0.735 0.867 1
```